MgNi2SeO6: calculated X-ray powder pattern (Cu Kα), based on a DFT-relaxed cell (PBE+U, Alexandria).
Lines closer than 0.1° are merged.

Cell and atoms:
a = 5.142 Å, b = 5.142 Å, c = 4.626 Å
α = 90.00°, β = 90.00°, γ = 90.00°
Space group P4mm (No. 99)
Inequivalent atoms, fractional coordinates:
Mg  0.000  0.000  0.000 [1 per cell]
Ni  0.000  0.500  0.386 [2 per cell]
Se  0.500  0.500  0.052 [1 per cell]
O  0.000  0.000  0.584 [1 per cell]
O  0.265  0.265  0.178 [4 per cell]
O  0.500  0.500  0.695 [1 per cell]

Peak list (12 most intense, 10 to 90 degrees two-theta, sorted by position)
index  two_theta  intensity
1 0 0  17.25  20
0 0 1  19.19  50
1 0 1  25.91  18
1 1 1  31.29  100
2 0 0  34.90  39
1 1 2  46.54  36
2 2 0  50.19  34
2 0 2  53.28  16
2 2 1  54.21  10
3 1 1  60.34  29
3 1 2  70.84  19
2 0 3  71.32  15